Entry 1:
LaTb2Pr5Sm: calculated X-ray powder pattern (Cu Kα X-rays), based on a structure optimized by DFT (PBE).

Most intense lines, 5° ≤ 2θ ≤ 70°, in order of rising 2θ:
| d [Å] | I/Imax |
| --- | --- |
| 3.330 | 55 |
| 3.187 | 55 |
| 2.887 | 100 |
| 2.571 | 27 |
| 2.402 | 18 |
| 2.257 | 19 |
| 1.826 | 29 |
| 1.541 | 18 |

Structure:
```
data_LaTb2Pr5Sm
_cell_length_a 9.418
_cell_length_b 9.418
_cell_length_c 14.621
_cell_angle_alpha 90.00
_cell_angle_beta 90.00
_cell_angle_gamma 90.00
_symmetry_space_group_name_H-M 'I 4/m c m'
_symmetry_Int_Tables_number 140
_symmetry_space_group_name_Hall '-I 4 2c'
loop_
_atom_site_label
_atom_site_type_symbol
_atom_site_fract_x
_atom_site_fract_y
_atom_site_fract_z
La1 La 0.000 0.000 0.250
Tb1 Tb 0.110 0.390 0.000
Pr1 Pr 0.000 0.000 0.000
Pr2 Pr 0.203 0.297 0.368
Sm1 Sm 0.000 0.500 0.250
```


Entry 2:
LaTbPr3Sm: calculated X-ray powder pattern (Cu Kα X-rays), based on a structure optimized by DFT (PBE).

Most intense lines, 5° ≤ 2θ ≤ 70°, in order of rising 2θ:
| d [Å] | I/Imax |
| --- | --- |
| 3.008 | 100 |
| 2.614 | 17 |
| 2.606 | 17 |
| 2.595 | 17 |
| 1.840 | 24 |
| 1.575 | 15 |
| 1.571 | 14 |
| 1.566 | 14 |

Structure:
```
data_LaTbPr3Sm
_cell_length_a 8.208
_cell_length_b 5.228
_cell_length_c 10.422
_cell_angle_alpha 90.00
_cell_angle_beta 108.50
_cell_angle_gamma 90.00
_symmetry_space_group_name_H-M 'P 1 21/m 1'
_symmetry_Int_Tables_number 11
_symmetry_space_group_name_Hall '-P 2yb'
loop_
_atom_site_label
_atom_site_type_symbol
_atom_site_fract_x
_atom_site_fract_y
_atom_site_fract_z
La1 La 0.170 0.250 0.292
Tb1 Tb 0.498 0.750 0.876
Pr1 Pr 0.170 0.250 0.793
Pr2 Pr 0.170 0.750 0.544
Pr3 Pr 0.171 0.750 0.042
Sm1 Sm 0.500 0.250 0.627
```


Entry 3:
La5PrSm2Tl: calculated X-ray powder pattern (Cu Kα X-rays), based on a structure optimized by DFT (PBE).

Most intense lines, 5° ≤ 2θ ≤ 70°, in order of rising 2θ:
| d [Å] | I/Imax |
| --- | --- |
| 3.431 | 7 |
| 3.238 | 7 |
| 3.073 | 18 |
| 2.844 | 100 |
| 2.783 | 13 |
| 1.990 | 10 |
| 1.643 | 15 |
| 1.557 | 6 |

Structure:
```
data_La5PrSm2Tl
_cell_length_a 5.695
_cell_length_b 20.303
_cell_length_c 11.132
_cell_angle_alpha 90.00
_cell_angle_beta 90.00
_cell_angle_gamma 90.00
_symmetry_space_group_name_H-M 'C m c m'
_symmetry_Int_Tables_number 63
_symmetry_space_group_name_Hall '-C 2c 2'
loop_
_atom_site_label
_atom_site_type_symbol
_atom_site_fract_x
_atom_site_fract_y
_atom_site_fract_z
La1 La 0.000 0.000 0.000
La2 La 0.000 0.121 0.250
La3 La 0.000 0.211 0.550
La4 La 0.000 0.490 0.250
Pr1 Pr 0.000 0.308 0.250
Sm1 Sm 0.000 0.383 0.546
Tl1 Tl 0.000 0.092 0.750
```


Entry 4:
LaPr2Sm2Tm: calculated X-ray powder pattern (Cu Kα X-rays), based on a structure optimized by DFT (PBE).

Most intense lines, 5° ≤ 2θ ≤ 70°, in order of rising 2θ:
| d [Å] | I/Imax |
| --- | --- |
| 2.904 | 93 |
| 2.889 | 100 |
| 2.245 | 9 |
| 2.048 | 34 |
| 1.671 | 36 |
| 1.668 | 19 |
| 1.518 | 29 |
| 1.445 | 12 |

Structure:
```
data_LaPr2Sm2Tm
_cell_length_a 7.133
_cell_length_b 5.778
_cell_length_c 10.009
_cell_angle_alpha 90.00
_cell_angle_beta 90.00
_cell_angle_gamma 90.00
_symmetry_space_group_name_H-M 'P m m a'
_symmetry_Int_Tables_number 51
_symmetry_space_group_name_Hall '-P 2a 2a'
loop_
_atom_site_label
_atom_site_type_symbol
_atom_site_fract_x
_atom_site_fract_y
_atom_site_fract_z
La1 La 0.250 0.000 0.155
Pr1 Pr 0.000 0.000 0.500
Pr2 Pr 0.250 0.500 0.679
Sm1 Sm 0.250 0.000 0.829
Sm2 Sm 0.250 0.500 0.338
Tm1 Tm 0.000 0.500 0.000
```


Entry 5:
La2PrSm2Tm: calculated X-ray powder pattern (Cu Kα X-rays), based on a structure optimized by DFT (PBE).

Most intense lines, 5° ≤ 2θ ≤ 70°, in order of rising 2θ:
| d [Å] | I/Imax |
| --- | --- |
| 2.910 | 93 |
| 2.889 | 100 |
| 2.247 | 9 |
| 2.050 | 34 |
| 1.788 | 8 |
| 1.672 | 36 |
| 1.668 | 19 |
| 1.521 | 29 |

Structure:
```
data_La2PrSm2Tm
_cell_length_a 7.153
_cell_length_b 5.784
_cell_length_c 9.998
_cell_angle_alpha 90.00
_cell_angle_beta 90.00
_cell_angle_gamma 90.00
_symmetry_space_group_name_H-M 'P m m a'
_symmetry_Int_Tables_number 51
_symmetry_space_group_name_Hall '-P 2a 2a'
loop_
_atom_site_label
_atom_site_type_symbol
_atom_site_fract_x
_atom_site_fract_y
_atom_site_fract_z
La1 La 0.000 0.000 0.000
La2 La 0.250 0.500 0.178
Pr1 Pr 0.250 0.000 0.657
Sm1 Sm 0.250 0.000 0.332
Sm2 Sm 0.250 0.500 0.835
Tm1 Tm 0.000 0.500 0.500
```


Entry 6:
LaPr3SmY: calculated X-ray powder pattern (Cu Kα X-rays), based on a structure optimized by DFT (PBE).

Most intense lines, 5° ≤ 2θ ≤ 70°, in order of rising 2θ:
| d [Å] | I/Imax |
| --- | --- |
| 3.009 | 100 |
| 2.617 | 17 |
| 2.606 | 17 |
| 2.594 | 17 |
| 1.576 | 15 |
| 1.572 | 14 |
| 1.566 | 14 |
| 1.504 | 12 |

Structure:
```
data_LaPr3SmY
_cell_length_a 8.208
_cell_length_b 5.234
_cell_length_c 10.425
_cell_angle_alpha 90.00
_cell_angle_beta 108.52
_cell_angle_gamma 90.00
_symmetry_space_group_name_H-M 'P 1 21/m 1'
_symmetry_Int_Tables_number 11
_symmetry_space_group_name_Hall '-P 2yb'
loop_
_atom_site_label
_atom_site_type_symbol
_atom_site_fract_x
_atom_site_fract_y
_atom_site_fract_z
La1 La 0.169 0.250 0.292
Pr1 Pr 0.169 0.250 0.792
Pr2 Pr 0.170 0.750 0.042
Pr3 Pr 0.170 0.750 0.543
Sm1 Sm 0.500 0.250 0.626
Y1 Y 0.498 0.750 0.876
```


Entry 7:
LaPr2Sm2Y: calculated X-ray powder pattern (Cu Kα X-rays), based on a structure optimized by DFT (PBE).

Most intense lines, 5° ≤ 2θ ≤ 70°, in order of rising 2θ:
| d [Å] | I/Imax |
| --- | --- |
| 3.581 | 10 |
| 2.915 | 84 |
| 2.899 | 100 |
| 2.253 | 18 |
| 2.056 | 31 |
| 1.678 | 21 |
| 1.675 | 24 |
| 1.523 | 29 |

Structure:
```
data_LaPr2Sm2Y
_cell_length_a 7.162
_cell_length_b 5.806
_cell_length_c 10.030
_cell_angle_alpha 90.00
_cell_angle_beta 90.00
_cell_angle_gamma 90.00
_symmetry_space_group_name_H-M 'P m m a'
_symmetry_Int_Tables_number 51
_symmetry_space_group_name_Hall '-P 2a 2a'
loop_
_atom_site_label
_atom_site_type_symbol
_atom_site_fract_x
_atom_site_fract_y
_atom_site_fract_z
La1 La 0.250 0.000 0.159
Pr1 Pr 0.000 0.000 0.500
Pr2 Pr 0.250 0.500 0.674
Sm1 Sm 0.250 0.000 0.829
Sm2 Sm 0.250 0.500 0.336
Y1 Y 0.000 0.500 0.000
```


Entry 8:
La5Pr5Sn6: calculated X-ray powder pattern (Cu Kα X-rays), based on a structure optimized by DFT (PBE).

Most intense lines, 5° ≤ 2θ ≤ 70°, in order of rising 2θ:
| d [Å] | I/Imax |
| --- | --- |
| 3.470 | 19 |
| 3.195 | 17 |
| 3.095 | 30 |
| 2.827 | 100 |
| 2.797 | 80 |
| 2.730 | 44 |
| 1.954 | 20 |
| 1.853 | 29 |

Structure:
```
data_La5Pr5Sn6
_cell_length_a 6.939
_cell_length_b 16.393
_cell_length_c 9.448
_cell_angle_alpha 90.00
_cell_angle_beta 90.00
_cell_angle_gamma 90.00
_symmetry_space_group_name_H-M 'A m m 2'
_symmetry_Int_Tables_number 38
_symmetry_space_group_name_Hall 'A 2 -2'
loop_
_atom_site_label
_atom_site_type_symbol
_atom_site_fract_x
_atom_site_fract_y
_atom_site_fract_z
La1 La 0.000 0.000 0.000
La2 La 0.251 0.167 0.743
Pr1 Pr 0.000 0.122 0.365
Pr2 Pr 0.500 0.000 0.486
Pr3 Pr 0.500 0.122 0.121
Sn1 Sn 0.000 0.000 0.633
Sn2 Sn 0.000 0.197 0.047
Sn3 Sn 0.500 0.000 0.852
Sn4 Sn 0.500 0.195 0.438
```


Entry 9:
La5PrSn5: calculated X-ray powder pattern (Cu Kα X-rays), based on a structure optimized by DFT (PBE).

Most intense lines, 5° ≤ 2θ ≤ 70°, in order of rising 2θ:
| d [Å] | I/Imax |
| --- | --- |
| 3.248 | 100 |
| 2.368 | 14 |
| 2.297 | 52 |
| 2.228 | 12 |
| 1.914 | 15 |
| 1.838 | 13 |
| 1.453 | 19 |
| 1.353 | 10 |

Structure:
```
data_La5PrSn5
_cell_length_a 14.886
_cell_length_b 6.503
_cell_length_c 8.912
_cell_angle_alpha 90.00
_cell_angle_beta 107.35
_cell_angle_gamma 90.00
_symmetry_space_group_name_H-M 'C 1 2/m 1'
_symmetry_Int_Tables_number 12
_symmetry_space_group_name_Hall '-C 2y'
loop_
_atom_site_label
_atom_site_type_symbol
_atom_site_fract_x
_atom_site_fract_y
_atom_site_fract_z
La1 La 0.000 0.000 0.000
La2 La 0.169 0.500 0.832
La3 La 0.171 0.500 0.339
Pr1 Pr 0.000 0.000 0.500
Sn1 Sn 0.000 0.500 0.500
Sn2 Sn 0.162 0.000 0.328
Sn3 Sn 0.164 0.000 0.834
```


Entry 10:
La5PrSn3: calculated X-ray powder pattern (Cu Kα X-rays), based on a structure optimized by DFT (PBE).

Most intense lines, 5° ≤ 2θ ≤ 70°, in order of rising 2θ:
| d [Å] | I/Imax |
| --- | --- |
| 2.836 | 100 |
| 2.827 | 90 |
| 2.192 | 9 |
| 2.002 | 34 |
| 1.728 | 8 |
| 1.636 | 55 |
| 1.476 | 28 |
| 1.418 | 12 |

Structure:
```
data_La5PrSn3
_cell_length_a 9.8242
_cell_length_b 9.8242
_cell_length_c 6.9124
_cell_angle_alpha 90.00
_cell_angle_beta 90.00
_cell_angle_gamma 120.00
_symmetry_space_group_name_H-M 'P 63/m c m'
_symmetry_Int_Tables_number 193
_symmetry_space_group_name_Hall '-P 6c 2'
loop_
_atom_site_label
_atom_site_type_symbol
_atom_site_fract_x
_atom_site_fract_y
_atom_site_fract_z
La1 La 0.0000 0.3337 0.2500
La2 La 0.3333 0.6667 0.0000
Pr1 Pr 0.0000 0.0000 0.0000
Sn1 Sn 0.0000 0.3325 0.7500
```


Entry 11:
La6PrSn2: calculated X-ray powder pattern (Cu Kα X-rays), based on a structure optimized by DFT (PBE).

Most intense lines, 5° ≤ 2θ ≤ 70°, in order of rising 2θ:
| d [Å] | I/Imax |
| --- | --- |
| 4.354 | 19 |
| 2.891 | 50 |
| 2.884 | 100 |
| 2.872 | 28 |
| 2.527 | 17 |
| 2.179 | 18 |
| 2.175 | 20 |
| 1.930 | 20 |

Structure:
```
data_La6PrSn2
_cell_length_a 13.388
_cell_length_b 7.691
_cell_length_c 5.744
_cell_angle_alpha 90.00
_cell_angle_beta 90.13
_cell_angle_gamma 90.00
_symmetry_space_group_name_H-M 'C 1 2/m 1'
_symmetry_Int_Tables_number 12
_symmetry_space_group_name_Hall '-C 2y'
loop_
_atom_site_label
_atom_site_type_symbol
_atom_site_fract_x
_atom_site_fract_y
_atom_site_fract_z
La1 La 0.096 0.211 0.236
La2 La 0.193 0.500 0.762
Pr1 Pr 0.000 0.500 0.500
Sn1 Sn 0.167 0.000 0.733
```


Entry 12:
La4PrSn3: calculated X-ray powder pattern (Cu Kα X-rays), based on a structure optimized by DFT (PBE).

Most intense lines, 5° ≤ 2θ ≤ 70°, in order of rising 2θ:
| d [Å] | I/Imax |
| --- | --- |
| 3.090 | 66 |
| 2.856 | 75 |
| 2.832 | 56 |
| 2.782 | 100 |
| 2.589 | 38 |
| 2.221 | 22 |
| 1.742 | 25 |
| 1.545 | 23 |

Structure:
```
data_La4PrSn3
_cell_length_a 12.775
_cell_length_b 12.775
_cell_length_c 6.320
_cell_angle_alpha 90.00
_cell_angle_beta 90.00
_cell_angle_gamma 90.00
_symmetry_space_group_name_H-M 'I 4/m c m'
_symmetry_Int_Tables_number 140
_symmetry_space_group_name_Hall '-I 4 2c'
loop_
_atom_site_label
_atom_site_type_symbol
_atom_site_fract_x
_atom_site_fract_y
_atom_site_fract_z
La1 La 0.086 0.219 0.000
Pr1 Pr 0.000 0.500 0.250
Sn1 Sn 0.000 0.000 0.250
Sn2 Sn 0.159 0.341 0.500
```